(1)
For Ni3SbN, a crystal structure in the Materials Project, relaxed with PBE gives the theoretical powder diffraction line list in this record (copper Kα).
Peak positions follow from Bragg's law for the DFT cell and can differ from measured ones.

Atomic structure:
a b c (Å): 3.9319 3.9319 3.9189
angles (deg): 90.00 90.00 90.00
Fractional positions:
Ni  0.0000  0.0000  0.0000
Ni  0.0000  0.5000  0.5000
Ni  0.5000  0.0000  0.5000
Sb  0.5000  0.5000  0.0000
N  0.0000  0.0000  0.5000

Peak list (10 most intense, 2θ = 10–80°, sorted by position)
2θ = 22.64°, 3.928 Å, rel. 6; 2θ = 32.23°, 2.777 Å, rel. 14; 2θ = 39.75°, 2.268 Å, rel. 100; 2θ = 46.18°, 1.966 Å, rel. 38; 2θ = 46.34°, 1.959 Å, rel. 19; 2θ = 52.03°, 1.758 Å, rel. 2; 2θ = 57.44°, 1.604 Å, rel. 3; 2θ = 57.55°, 1.602 Å, rel. 2; 2θ = 67.36°, 1.390 Å, rel. 11; 2θ = 67.49°, 1.388 Å, rel. 22

=====

(2)
For CsLiCl2, a crystal structure in the Materials Project, relaxed with PBE gives the theoretical powder diffraction line list in this record (copper Kα).
Peak positions follow from Bragg's law for the DFT cell and can differ from measured ones.

Atomic structure:
a b c (Å): 7.8562 7.8562 9.8645
angles (deg): 93.18 93.18 124.16
Fractional positions:
Cs  0.1321  0.3209  0.4344
Cs  0.3209  0.1321  0.9344
Cs  0.6791  0.8679  0.0656
Cs  0.8679  0.6791  0.5656
Li  0.0444  0.4396  0.8654
Li  0.4396  0.0444  0.3654
Li  0.5604  0.9556  0.6346
Li  0.9556  0.5604  0.1346
Cl  0.1072  0.8928  0.2500
Cl  0.1616  0.4306  0.0892
Cl  0.3145  0.6855  0.7500
Cl  0.4306  0.1616  0.5892
Cl  0.5694  0.8384  0.4108
Cl  0.6855  0.3145  0.2500
Cl  0.8384  0.5694  0.9108
Cl  0.8928  0.1072  0.7500

Peak list (10 most intense, 2θ = 10–80°, sorted by position)
2θ = 15.62°, 5.672 Å, rel. 46; 2θ = 21.58°, 4.117 Å, rel. 24; 2θ = 23.95°, 3.716 Å, rel. 56; 2θ = 24.37°, 3.652 Å, rel. 41; 2θ = 25.05°, 3.554 Å, rel. 72; 2θ = 25.67°, 3.471 Å, rel. 51; 2θ = 28.71°, 3.110 Å, rel. 58; 2θ = 30.01°, 2.978 Å, rel. 62; 2θ = 30.25°, 2.955 Å, rel. 100; 2θ = 38.89°, 2.316 Å, rel. 33

=====

(3)
For CeYMg6, a crystal structure in the Materials Project, relaxed with PBE gives the theoretical powder diffraction line list in this record (copper Kα).
Peak positions follow from Bragg's law for the DFT cell and can differ from measured ones.

Atomic structure:
a b c (Å): 5.2494 6.8599 11.4320
angles (deg): 90.00 90.00 90.00
Fractional positions:
Ce  0.0000  0.0000  0.0000
Ce  0.0000  0.5000  0.5000
Y  0.5000  0.0000  0.8225
Y  0.5000  0.5000  0.3225
Mg  0.0000  0.0000  0.5002
Mg  0.0000  0.2479  0.7460
Mg  0.0000  0.2521  0.2460
Mg  0.0000  0.5000  0.0002
Mg  0.0000  0.7479  0.2460
Mg  0.0000  0.7521  0.7460
Mg  0.5000  0.0000  0.3160
Mg  0.5000  0.2419  0.5713
Mg  0.5000  0.2581  0.0713
Mg  0.5000  0.5000  0.8160
Mg  0.5000  0.7419  0.0713
Mg  0.5000  0.7581  0.5713

Peak list (10 most intense, 2θ = 10–80°, sorted by position)
2θ = 15.06°, 5.882 Å, rel. 76; 2θ = 22.70°, 3.917 Å, rel. 27; 2θ = 23.00°, 3.866 Å, rel. 33; 2θ = 30.39°, 2.941 Å, rel. 18; 2θ = 31.82°, 2.813 Å, rel. 34; 2θ = 34.16°, 2.625 Å, rel. 33; 2θ = 34.97°, 2.566 Å, rel. 100; 2θ = 35.77°, 2.510 Å, rel. 36; 2θ = 61.68°, 1.504 Å, rel. 18; 2θ = 66.48°, 1.406 Å, rel. 17

=====

(4)
For Ga40GeMo8, a crystal structure in the Materials Project, relaxed with PBE gives the theoretical powder diffraction line list in this record (copper Kα).
Peak positions follow from Bragg's law for the DFT cell and can differ from measured ones.

Atomic structure:
a b c (Å): 9.6182 9.6182 9.6182
angles (deg): 94.00 94.00 94.00
Fractional positions:
Ga  0.0000  0.0000  0.0000
Ga  0.0000  0.0000  0.5000
Ga  0.0000  0.5000  0.0000
Ga  0.0315  0.2784  0.1737
Ga  0.0510  0.4252  0.7221
Ga  0.0986  0.2851  0.4663
Ga  0.1102  0.1342  0.7665
Ga  0.1342  0.7665  0.1102
Ga  0.1737  0.0315  0.2784
Ga  0.1830  0.6749  0.6248
Ga  0.2335  0.8898  0.8658
Ga  0.2443  0.5493  0.3741
Ga  0.2784  0.1737  0.0315
Ga  0.2779  0.9490  0.5748
Ga  0.2851  0.4663  0.0986
Ga  0.3251  0.3752  0.8170
Ga  0.3741  0.2443  0.5493
Ga  0.3752  0.8170  0.3251
Ga  0.4252  0.7221  0.0510
Ga  0.4507  0.6259  0.7557
Ga  0.4663  0.0986  0.2851
Ga  0.5000  0.0000  0.0000
Ga  0.5337  0.9014  0.7149
Ga  0.5493  0.3741  0.2443
Ga  0.5748  0.2779  0.9490
Ga  0.6248  0.1830  0.6749
Ga  0.6259  0.7557  0.4507
Ga  0.6749  0.6248  0.1830
Ga  0.7149  0.5337  0.9014
Ga  0.7221  0.0510  0.4252
Ga  0.7216  0.8263  0.9685
Ga  0.7557  0.4507  0.6259
Ga  0.7665  0.1102  0.1342
Ga  0.8170  0.3251  0.3752
Ga  0.8263  0.9685  0.7216
Ga  0.8658  0.2335  0.8898
Ga  0.8898  0.8658  0.2335
Ga  0.9014  0.7149  0.5337
Ga  0.9490  0.5748  0.2779
Ga  0.9685  0.7216  0.8263
Ge  0.5000  0.5000  0.5000
Mo  0.1129  0.7870  0.3892
Mo  0.2130  0.6108  0.8871
Mo  0.2873  0.2873  0.2873
Mo  0.3892  0.1129  0.7870
Mo  0.6108  0.8871  0.2130
Mo  0.7127  0.7127  0.7127
Mo  0.7870  0.3892  0.1129
Mo  0.8871  0.2130  0.6108

Peak list (10 most intense, 2θ = 10–80°, sorted by position)
2θ = 21.38°, 4.156 Å, rel. 41; 2θ = 21.88°, 4.061 Å, rel. 37; 2θ = 30.78°, 2.905 Å, rel. 61; 2θ = 38.09°, 2.363 Å, rel. 50; 2θ = 39.54°, 2.279 Å, rel. 92; 2θ = 39.81°, 2.265 Å, rel. 78; 2θ = 41.53°, 2.174 Å, rel. 65; 2θ = 41.66°, 2.168 Å, rel. 64; 2θ = 43.56°, 2.078 Å, rel. 100; 2θ = 44.62°, 2.031 Å, rel. 87

=====

(5)
For Mg6AlSb, a crystal structure in the Materials Project, relaxed with PBE gives the theoretical powder diffraction line list in this record (copper Kα).
Peak positions follow from Bragg's law for the DFT cell and can differ from measured ones.

Atomic structure:
a b c (Å): 5.2487 6.2003 10.9430
angles (deg): 90.00 90.00 90.00
Fractional positions:
Mg  0.0000  0.0000  0.0000
Mg  0.0000  0.2466  0.7457
Mg  0.0000  0.2534  0.2457
Mg  0.0000  0.5000  0.5000
Mg  0.0000  0.7466  0.2457
Mg  0.0000  0.7534  0.7457
Mg  0.5000  0.0000  0.1646
Mg  0.5000  0.2484  0.9155
Mg  0.5000  0.2516  0.4155
Mg  0.5000  0.5000  0.6646
Mg  0.5000  0.7484  0.4155
Mg  0.5000  0.7516  0.9155
Al  0.5000  0.0000  0.6734
Al  0.5000  0.5000  0.1734
Sb  0.0000  0.0000  0.4972
Sb  0.0000  0.5000  0.9972

Peak list (10 most intense, 2θ = 10–80°, sorted by position)
2θ = 16.20°, 5.471 Å, rel. 23; 2θ = 16.43°, 5.395 Å, rel. 48; 2θ = 16.89°, 5.249 Å, rel. 22; 2θ = 23.49°, 3.788 Å, rel. 22; 2θ = 23.65°, 3.762 Å, rel. 42; 2θ = 33.22°, 2.697 Å, rel. 45; 2θ = 34.17°, 2.624 Å, rel. 41; 2θ = 37.06°, 2.426 Å, rel. 48; 2θ = 37.49°, 2.399 Å, rel. 100; 2θ = 69.73°, 1.349 Å, rel. 22

=====

(6)
For Cs12Sn2As6O, a crystal structure in the Materials Project, relaxed with PBE gives the theoretical powder diffraction line list in this record (copper Kα).
Peak positions follow from Bragg's law for the DFT cell and can differ from measured ones.

Atomic structure:
a b c (Å): 12.4148 12.4148 6.4323
angles (deg): 90.00 90.00 120.00
Fractional positions:
Cs  0.0915  0.5457  0.2507
Cs  0.1171  0.2343  0.2302
Cs  0.1171  0.8829  0.2302
Cs  0.2343  0.1171  0.7698
Cs  0.4543  0.5457  0.2507
Cs  0.4543  0.9085  0.2507
Cs  0.5457  0.0915  0.7493
Cs  0.5457  0.4543  0.7493
Cs  0.7657  0.8829  0.2302
Cs  0.8829  0.1171  0.7698
Cs  0.8829  0.7657  0.7698
Cs  0.9085  0.4543  0.7493
Sn  0.3333  0.6667  0.7506
Sn  0.6667  0.3333  0.2494
As  0.2133  0.4265  0.7517
As  0.2133  0.7867  0.7517
As  0.4265  0.2133  0.2483
As  0.5735  0.7867  0.7517
As  0.7867  0.2133  0.2483
As  0.7867  0.5735  0.2483
O  0.0000  0.0000  0.0000

Peak list (10 most intense, 2θ = 10–80°, sorted by position)
2θ = 24.84°, 3.584 Å, rel. 13; 2θ = 27.74°, 3.216 Å, rel. 30; 2θ = 28.51°, 3.131 Å, rel. 100; 2θ = 37.58°, 2.394 Å, rel. 10; 2θ = 43.75°, 2.069 Å, rel. 24; 2θ = 49.54°, 1.840 Å, rel. 20; 2θ = 52.59°, 1.740 Å, rel. 28; 2θ = 53.05°, 1.726 Å, rel. 15; 2θ = 71.13°, 1.326 Å, rel. 11; 2θ = 74.77°, 1.270 Å, rel. 9

=====

(7)
For HfMg6Cu, a crystal structure in the Materials Project, relaxed with PBE gives the theoretical powder diffraction line list in this record (copper Kα).
Peak positions follow from Bragg's law for the DFT cell and can differ from measured ones.

Atomic structure:
a b c (Å): 4.8930 6.0810 11.1788
angles (deg): 90.00 90.00 90.00
Fractional positions:
Hf  0.0000  0.0000  0.0000
Hf  0.0000  0.5000  0.5000
Mg  0.0000  0.0000  0.4797
Mg  0.0000  0.2458  0.2379
Mg  0.0000  0.2542  0.7379
Mg  0.0000  0.5000  0.9797
Mg  0.0000  0.7458  0.7379
Mg  0.0000  0.7542  0.2379
Mg  0.5000  0.0000  0.6377
Mg  0.5000  0.2444  0.8927
Mg  0.5000  0.2556  0.3927
Mg  0.5000  0.5000  0.1377
Mg  0.5000  0.7444  0.3927
Mg  0.5000  0.7556  0.8927
Cu  0.5000  0.0000  0.1252
Cu  0.5000  0.5000  0.6252

Peak list (10 most intense, 2θ = 10–80°, sorted by position)
2θ = 15.86°, 5.589 Å, rel. 42; 2θ = 16.60°, 5.342 Å, rel. 100; 2θ = 24.17°, 3.682 Å, rel. 27; 2θ = 24.67°, 3.608 Å, rel. 32; 2θ = 33.59°, 2.668 Å, rel. 73; 2θ = 36.74°, 2.446 Å, rel. 33; 2θ = 37.04°, 2.427 Å, rel. 61; 2θ = 38.40°, 2.344 Å, rel. 71; 2θ = 40.56°, 2.224 Å, rel. 22; 2θ = 50.60°, 1.804 Å, rel. 24

=====

(8)
For K3Na2SnBi3, a crystal structure in the Materials Project, relaxed with PBE gives the theoretical powder diffraction line list in this record (copper Kα).
Peak positions follow from Bragg's law for the DFT cell and can differ from measured ones.

Atomic structure:
a b c (Å): 14.3811 14.3811 14.3811
angles (deg): 150.73 106.13 81.36
Fractional positions:
K  0.0761  0.7500  0.8261
K  0.0878  0.8866  0.6446
K  0.2421  0.3866  0.2989
K  0.2579  0.5568  0.1446
K  0.4122  0.0568  0.7989
K  0.4239  0.2500  0.6739
K  0.5761  0.7500  0.3261
K  0.5878  0.9432  0.2011
K  0.7421  0.4432  0.8554
K  0.7579  0.6134  0.7011
K  0.9122  0.1134  0.3554
K  0.9239  0.2500  0.1739
Na  0.0028  0.2528  0.7500
Na  0.1620  0.4120  0.7500
Na  0.3380  0.0880  0.2500
Na  0.4972  0.2472  0.2500
Na  0.5028  0.7528  0.7500
Na  0.6620  0.9120  0.7500
Na  0.8380  0.5880  0.2500
Na  0.9972  0.7472  0.2500
Sn  0.1676  0.9176  0.2500
Sn  0.3324  0.5824  0.7500
Sn  0.6676  0.4176  0.2500
Sn  0.8324  0.0824  0.7500
Bi  0.0219  0.3725  0.0745
Bi  0.1483  0.2500  0.3983
Bi  0.2020  0.0526  0.5745
Bi  0.2980  0.8725  0.8506
Bi  0.3517  0.7500  0.1017
Bi  0.4781  0.5526  0.3506
Bi  0.5219  0.4474  0.6494
Bi  0.6483  0.2500  0.8983
Bi  0.7020  0.1275  0.1494
Bi  0.7980  0.9474  0.4255
Bi  0.8517  0.7500  0.6017
Bi  0.9781  0.6275  0.9255

Peak list (10 most intense, 2θ = 10–80°, sorted by position)
2θ = 10.24°, 8.641 Å, rel. 24; 2θ = 20.10°, 4.418 Å, rel. 100; 2θ = 20.56°, 4.321 Å, rel. 19; 2θ = 24.49°, 3.635 Å, rel. 40; 2θ = 26.96°, 3.307 Å, rel. 28; 2θ = 32.18°, 2.781 Å, rel. 77; 2θ = 34.91°, 2.570 Å, rel. 40; 2θ = 35.73°, 2.513 Å, rel. 30; 2θ = 40.61°, 2.222 Å, rel. 29; 2θ = 60.89°, 1.521 Å, rel. 19